SrCa3Cu2O6: calculated powder diffraction line list (CuKα), based on a structure optimized by DFT (GGA-PBE).
Kinematic intensities with the Lorentz-polarization factor, no thermal factor.

Main lines, in order of rising 2θ (2θ from 15° to 90°):
Position (°2θ)	d [Å]	I/Imax
31.79	2.814	51.7
34.55	2.596	68.0
35.44	2.533	100.0
44.14	2.052	27.4
46.99	1.934	28.3
54.76	1.676	16.9
57.83	1.594	32.7
59.62	1.551	26.4
64.73	1.440	14.4
74.99	1.267	15.8

Crystal structure
abc: 6.666 6.666 6.705
angles: 104.56 104.56 33.72
Sites, in units of the cell vectors:
Sr 0.000 0.000 0.000
Ca 0.000 0.000 0.500
Ca 0.297 0.297 0.151
Ca 0.297 0.297 0.646
Cu 0.648 0.648 0.820
Cu 0.650 0.650 0.329
O 0.152 0.152 0.332
O 0.152 0.152 0.820
O 0.488 0.488 0.254
O 0.489 0.489 0.734
O 0.804 0.804 0.903
O 0.810 0.810 0.404

---

Sr6Ca4Cu17O29: calculated powder diffraction line list (CuKα), based on a structure optimized by DFT (GGA-PBE).
Kinematic intensities with the Lorentz-polarization factor, no thermal factor.

Main lines, in order of rising 2θ (2θ from 15° to 90°):
Position (°2θ)	d [Å]	I/Imax
26.57	3.355	29.9
30.95	2.890	100.0
31.37	2.852	60.2
33.57	2.669	57.5
34.24	2.619	13.9
41.56	2.173	28.4
46.39	1.957	17.3
49.99	1.825	16.5
54.72	1.677	19.1
56.81	1.621	14.8

Crystal structure
abc: 11.320 11.320 8.783
angles: 108.92 108.92 119.67
Sites, in units of the cell vectors:
Sr 0.065 0.666 0.738
Sr 0.126 0.126 0.264
Sr 0.334 0.935 0.262
Sr 0.666 0.065 0.738
Sr 0.874 0.874 0.736
Sr 0.935 0.334 0.262
Ca 0.278 0.475 0.749
Ca 0.475 0.278 0.749
Ca 0.525 0.722 0.251
Ca 0.722 0.525 0.251
Cu 0.000 0.000 0.500
Cu 0.066 0.266 0.997
Cu 0.134 0.534 0.997
Cu 0.144 0.856 0.500
Cu 0.266 0.066 0.997
Cu 0.287 0.713 0.500
Cu 0.337 0.337 0.003
Cu 0.430 0.570 0.500
Cu 0.466 0.866 0.003
Cu 0.534 0.134 0.997
Cu 0.570 0.430 0.500
Cu 0.663 0.663 0.997
Cu 0.713 0.287 0.500
Cu 0.734 0.934 0.003
Cu 0.856 0.144 0.500
Cu 0.866 0.466 0.003
Cu 0.934 0.734 0.003
O 0.032 0.633 0.007
O 0.037 0.185 0.490
O 0.087 0.657 0.465
O 0.100 0.900 0.000
O 0.176 0.176 0.009
O 0.185 0.037 0.490
O 0.232 0.432 0.994
O 0.250 0.530 0.507
O 0.302 0.698 0.000
O 0.343 0.913 0.535
O 0.367 0.968 0.993
O 0.410 0.410 0.544
O 0.432 0.232 0.994
O 0.470 0.750 0.493
O 0.500 0.500 0.000
O 0.530 0.250 0.507
O 0.568 0.768 0.006
O 0.590 0.590 0.456
O 0.633 0.032 0.007
O 0.657 0.087 0.465
O 0.698 0.302 0.000
O 0.750 0.470 0.493
O 0.768 0.568 0.006
O 0.815 0.963 0.510
O 0.824 0.824 0.991
O 0.900 0.100 0.000
O 0.913 0.343 0.535
O 0.963 0.815 0.510
O 0.968 0.367 0.993

---

SrCaCu2O4: calculated powder diffraction line list (CuKα), based on a structure optimized by DFT (GGA-PBE).
Kinematic intensities with the Lorentz-polarization factor, no thermal factor.

Main lines, in order of rising 2θ (2θ from 15° to 90°):
Position (°2θ)	d [Å]	I/Imax
25.98	3.430	43.8
30.44	2.937	56.8
31.80	2.814	65.1
34.68	2.587	100.0
45.09	2.011	26.2
46.08	1.970	33.9
47.28	1.923	25.6
52.11	1.755	22.7
53.00	1.728	27.8
62.35	1.489	19.9

Crystal structure
abc: 3.940 8.232 8.232
angles: 24.62 90.00 90.00
Sites, in units of the cell vectors:
Sr 0.000 0.000 0.000
Ca 0.500 0.339 0.339
Cu 0.000 0.733 0.733
Cu 0.500 0.608 0.608
O 0.000 0.615 0.615
O 0.000 0.849 0.849
O 0.500 0.486 0.486
O 0.500 0.729 0.729

---

SrCaCu2O4: calculated powder diffraction line list (CuKα), based on a structure optimized by DFT (GGA-PBE).
Kinematic intensities with the Lorentz-polarization factor, no thermal factor.

Main lines, in order of rising 2θ (2θ from 15° to 90°):
Position (°2θ)	d [Å]	I/Imax
20.82	4.267	10.4
32.35	2.768	35.4
35.27	2.544	100.0
46.40	1.957	33.6
54.83	1.674	9.7
59.60	1.551	40.4
65.11	1.433	9.8
67.71	1.384	9.6
74.60	1.272	14.1
78.72	1.216	8.6

Crystal structure
abc: 5.151 5.151 5.151
angles: 115.00 115.00 98.90
Sites, in units of the cell vectors:
Sr 0.000 0.000 0.000
Ca 0.500 0.500 0.000
Cu 0.250 0.750 0.500
Cu 0.750 0.250 0.500
O 0.000 0.000 0.500
O 0.000 0.500 0.000
O 0.500 0.000 0.000
O 0.500 0.500 0.500

---

Ca2TaCuO6: calculated powder diffraction line list (CuKα), based on a structure optimized by DFT (GGA-PBE).
Kinematic intensities with the Lorentz-polarization factor, no thermal factor.

Main lines, in order of rising 2θ (2θ from 15° to 90°):
Position (°2θ)	d [Å]	I/Imax
15.58	5.687	37.5
16.23	5.460	35.7
21.66	4.102	53.9
23.12	3.847	43.5
23.46	3.793	45.3
31.46	2.843	50.1
31.89	2.806	100.0
32.81	2.730	42.6
33.17	2.701	88.5
57.90	1.593	36.1

Crystal structure
abc: 5.477 7.694 5.704
angles: 90.00 94.50 90.00
Sites, in units of the cell vectors:
Ca 0.005 0.250 0.429
Ca 0.478 0.250 0.953
Ca 0.522 0.750 0.047
Ca 0.995 0.750 0.571
Ta 0.500 0.000 0.500
Ta 0.500 0.500 0.500
Cu 0.000 0.000 0.000
Cu 0.000 0.500 0.000
O 0.095 0.750 0.973
O 0.219 0.047 0.686
O 0.219 0.453 0.686
O 0.296 0.047 0.201
O 0.296 0.453 0.201
O 0.403 0.750 0.472
O 0.597 0.250 0.528
O 0.704 0.547 0.799
O 0.704 0.953 0.799
O 0.781 0.547 0.314
O 0.781 0.953 0.314
O 0.905 0.250 0.027

---

Ca4Cu5Te3O18: calculated powder diffraction line list (CuKα), based on a structure optimized by DFT (GGA-PBE).
Kinematic intensities with the Lorentz-polarization factor, no thermal factor.

Main lines, in order of rising 2θ (2θ from 15° to 90°):
Position (°2θ)	d [Å]	I/Imax
19.31	4.596	87.5
19.46	4.561	26.5
21.90	4.058	36.9
25.80	3.453	43.6
29.20	3.058	48.0
29.81	2.997	39.6
33.56	2.670	100.0
33.92	2.643	36.2
46.34	1.959	35.1
50.56	1.805	36.3

Crystal structure
abc: 9.293 9.293 10.604
angles: 98.44 98.44 60.08
Sites, in units of the cell vectors:
Ca 0.155 0.830 0.970
Ca 0.170 0.845 0.530
Ca 0.184 0.435 0.108
Ca 0.435 0.184 0.608
Ca 0.565 0.816 0.392
Ca 0.816 0.565 0.892
Ca 0.830 0.155 0.470
Ca 0.845 0.170 0.030
Cu 0.041 0.620 0.436
Cu 0.154 0.529 0.741
Cu 0.345 0.655 0.250
Cu 0.380 0.959 0.064
Cu 0.471 0.846 0.759
Cu 0.529 0.154 0.241
Cu 0.620 0.041 0.936
Cu 0.655 0.345 0.750
Cu 0.846 0.471 0.259
Cu 0.959 0.380 0.564
Te 0.143 0.177 0.805
Te 0.177 0.143 0.305
Te 0.500 0.500 0.000
Te 0.500 0.500 0.500
Te 0.823 0.857 0.695
Te 0.857 0.823 0.195
O 0.024 0.754 0.811
O 0.050 0.379 0.391
O 0.066 0.087 0.911
O 0.077 0.720 0.300
O 0.087 0.066 0.411
O 0.091 0.374 0.914
O 0.184 0.302 0.679
O 0.246 0.976 0.689
O 0.272 0.560 0.540
O 0.280 0.923 0.200
O 0.291 0.596 0.080
O 0.302 0.184 0.179
O 0.374 0.091 0.414
O 0.379 0.050 0.891
O 0.391 0.464 0.833
O 0.404 0.709 0.420
O 0.440 0.728 0.960
O 0.464 0.391 0.333
O 0.536 0.609 0.667
O 0.560 0.272 0.040
O 0.596 0.291 0.580
O 0.609 0.536 0.167
O 0.621 0.950 0.109
O 0.626 0.909 0.586
O 0.698 0.816 0.821
O 0.709 0.404 0.920
O 0.720 0.077 0.800
O 0.728 0.440 0.460
O 0.754 0.024 0.311
O 0.816 0.698 0.321
O 0.909 0.626 0.086
O 0.913 0.934 0.589
O 0.923 0.280 0.700
O 0.934 0.913 0.089
O 0.950 0.621 0.609
O 0.976 0.246 0.189